[1]
For Pb3I2O2, the PBE geometry in the Materials Project gives the theoretical powder diffractogram in this record (Cu Kα (λ = 1.5418 Å)).
No peak broadening, texture or thermal motion is included.

Peak list (6 most intense, 10 to 90 degrees two-theta, in order of rising 2θ)
index  2theta  Rel. int.
4 1 1  27.0  100
1 1 2  27.8  60
2 1 2  29.1  75
0 2 0  29.6  73
5 1 1  30.8  75
10 1 0  52.1  29

Structural model:
```
data_Pb3I2O2
_chemical_formula_sum 'Pb12 I8 O8'
_cell_length_a 18.354
_cell_length_b 6.043
_cell_length_c 7.741
_cell_angle_alpha 90.00
_cell_angle_beta 90.00
_cell_angle_gamma 90.00
_symmetry_space_group_name_H-M 'P n m a'
_symmetry_Int_Tables_number 62
loop_
_symmetry_equiv_pos_as_xyz
'x,y,z'
'-x,-y,-z'
'-x+1/2,-y,z+1/2'
'x+1/2,y,-z+1/2'
'x+1/2,-y+1/2,-z+1/2'
'-x+1/2,y+1/2,z+1/2'
'-x,y+1/2,-z'
'x,-y+1/2,z'
loop_
_atom_site_label
_atom_site_type_symbol
_atom_site_fract_x
_atom_site_fract_y
_atom_site_fract_z
Pb1 Pb 0.027 0.250 0.147
Pb2 Pb 0.106 0.250 0.713
Pb3 Pb 0.160 0.750 0.022
I1 I 0.064 0.750 0.403
I2 I 0.242 0.250 0.174
O1 O 0.075 0.000 0.918
```


[2]
For CaMg6Cu, the PBE geometry in the Materials Project gives the theoretical powder diffractogram in this record (Cu Kα (λ = 1.5418 Å)).
No peak broadening, texture or thermal motion is included.

Peak list (6 most intense, 10 to 90 degrees two-theta, in order of rising 2θ)
index  2theta  Rel. int.
0 2 2  32.7  29
2 0 0  35.3  40
1 0 4  35.6  57
1 2 2  37.3  100
2 2 2  48.9  18
3 2 2  64.7  19

Structural model:
```
data_CaMg6Cu
_chemical_formula_sum 'Ca2 Mg12 Cu2'
_cell_length_a 5.079
_cell_length_b 6.217
_cell_length_c 11.629
_cell_angle_alpha 90.00
_cell_angle_beta 90.00
_cell_angle_gamma 90.00
_symmetry_space_group_name_H-M 'A m m 2'
_symmetry_Int_Tables_number 38
loop_
_symmetry_equiv_pos_as_xyz
'x,y,z'
'-x,-y,z'
'-x,y,z'
'x,-y,z'
'x,y+1/2,z+1/2'
'-x,-y+1/2,z+1/2'
'-x,y+1/2,z+1/2'
'x,-y+1/2,z+1/2'
loop_
_atom_site_label
_atom_site_type_symbol
_atom_site_fract_x
_atom_site_fract_y
_atom_site_fract_z
Ca1 Ca 0.000 0.000 0.000
Mg1 Mg 0.000 0.247 0.249
Mg2 Mg 0.500 0.000 0.163
Mg3 Mg 0.500 0.000 0.640
Mg4 Mg 0.500 0.239 0.404
Cu1 Cu 0.000 0.000 0.474
```


[3]
For ThUP4H4C2O16, the PBE geometry in the Materials Project gives the theoretical powder diffractogram in this record (Cu Kα (λ = 1.5418 Å)).
No peak broadening, texture or thermal motion is included.

Peak list (6 most intense, 10 to 90 degrees two-theta, in order of rising 2θ)
index  2theta  Rel. int.
0 2 1  15.1  100
1 2 -1  19.7  55
1 4 0  23.7  38
1 0 -2  26.2  16
1 4 1  28.5  22
2 2 -3  44.6  17

Structural model:
```
data_ThUP4H4C2O16
_chemical_formula_sum 'Th2 U2 P8 H8 C4 O32'
_cell_length_a 5.749
_cell_length_b 20.350
_cell_length_c 7.375
_cell_angle_alpha 90.00
_cell_angle_beta 103.63
_cell_angle_gamma 90.00
_symmetry_space_group_name_H-M 'P 1 21/m 1'
_symmetry_Int_Tables_number 11
loop_
_symmetry_equiv_pos_as_xyz
'x,y,z'
'-x,-y,-z'
'-x,y+1/2,-z'
'x,-y+1/2,z'
loop_
_atom_site_label
_atom_site_type_symbol
_atom_site_fract_x
_atom_site_fract_y
_atom_site_fract_z
Th1 Th 0.185 0.250 0.103
U1 U 0.000 0.000 0.500
P1 P 0.306 0.636 0.780
P2 P 0.403 0.125 0.812
H1 H 0.279 0.556 0.015
H2 H 0.452 0.050 0.066
C1 C 0.425 0.584 0.980
O1 O 0.087 0.250 0.414
O2 O 0.095 0.675 0.825
O3 O 0.145 0.006 0.307
O4 O 0.217 0.590 0.612
O5 O 0.228 0.173 0.870
O6 O 0.236 0.750 0.137
O7 O 0.279 0.070 0.682
O8 O 0.432 0.665 0.288
O9 O 0.491 0.180 0.248
```


[4]
For TbGa6Fe6, the PBE geometry in the Materials Project gives the theoretical powder diffractogram in this record (Cu Kα (λ = 1.5418 Å)).
No peak broadening, texture or thermal motion is included.

Peak list (6 most intense, 10 to 90 degrees two-theta, in order of rising 2θ)
index  2theta  Rel. int.
1 0 3  35.1  72
2 0 2  40.6  55
0 0 4  40.8  87
1 2 3  41.1  100
1 3 2  41.4  57
2 2 2  45.9  55

Structural model:
```
data_TbGa6Fe6
_chemical_formula_sum 'Tb2 Ga12 Fe12'
_cell_length_a 5.148
_cell_length_b 8.634
_cell_length_c 8.826
_cell_angle_alpha 90.00
_cell_angle_beta 90.00
_cell_angle_gamma 90.00
_symmetry_space_group_name_H-M 'I m m m'
_symmetry_Int_Tables_number 71
_symmetry_space_group_name_Hall '-I 2 2'
loop_
_atom_site_label
_atom_site_type_symbol
_atom_site_fract_x
_atom_site_fract_y
_atom_site_fract_z
Tb1 Tb 0.000 0.000 0.000
Ga1 Ga 0.000 0.000 0.344
Ga2 Ga 0.000 0.334 0.000
Ga3 Ga 0.000 0.500 0.313
Fe1 Fe 0.000 0.256 0.500
Fe2 Fe 0.250 0.250 0.250
```